# 1
Calculated X-ray powder pattern of Mg3S2O10 for Cu Ka, from the GGA-PBE geometry in the Materials Project.

a b c (Å): 7.5562 7.5562 13.1022
angles (deg): 90.00 90.00 90.00
Positions (direct):
Mg 0.0977 0.3477 0.2536
Mg 0.1172 0.1172 0.5000
Mg 0.1523 0.5977 0.0036
Mg 0.3477 0.0977 0.7464
Mg 0.3828 0.6172 0.2500
Mg 0.4023 0.8477 0.4964
Mg 0.5977 0.1523 0.9964
Mg 0.6172 0.3828 0.7500
Mg 0.6523 0.9023 0.2464
Mg 0.8477 0.4023 0.5036
Mg 0.8828 0.8828 0.0000
Mg 0.9023 0.6523 0.7536
S 0.0043 0.7475 0.3724
S 0.2475 0.4957 0.6224
S 0.2525 0.9957 0.1276
S 0.4957 0.2475 0.3776
S 0.5043 0.7525 0.8776
S 0.7475 0.0043 0.6276
S 0.7525 0.5043 0.1224
S 0.9957 0.2525 0.8724
O 0.0020 0.2739 0.3928
O 0.1050 0.1416 0.8053
O 0.1055 0.3577 0.9416
O 0.1198 0.6256 0.3100
O 0.1256 0.3802 0.5600
O 0.1262 0.8657 0.4324
O 0.1343 0.8738 0.0676
O 0.1416 0.1050 0.1947
O 0.1423 0.6055 0.6916
O 0.2261 0.5020 0.1428
O 0.2739 0.0020 0.6072
O 0.3577 0.1055 0.0584
O 0.3584 0.6050 0.5553
O 0.3657 0.3738 0.6824
O 0.3738 0.3657 0.3176
O 0.3744 0.8802 0.1900
O 0.3802 0.1256 0.4400
O 0.3950 0.6416 0.9447
O 0.3945 0.8577 0.8084
O 0.4980 0.7739 0.3572
O 0.5020 0.2261 0.8572
O 0.6055 0.1423 0.3084
O 0.6050 0.3584 0.4447
O 0.6198 0.8744 0.9400
O 0.6256 0.1198 0.6900
O 0.6262 0.6343 0.8176
O 0.6343 0.6262 0.1824
O 0.6416 0.3950 0.0553
O 0.6423 0.8945 0.5584
O 0.7261 0.9980 0.1072
O 0.7739 0.4980 0.6428
O 0.8577 0.3945 0.1916
O 0.8584 0.8950 0.6947
O 0.8657 0.1262 0.5676
O 0.8738 0.1343 0.9324
O 0.8744 0.6198 0.0600
O 0.8802 0.3744 0.8100
O 0.8945 0.6423 0.4416
O 0.8950 0.8584 0.3053
O 0.9980 0.7261 0.8928

Top 10 peaks for 10 to 80 degrees two-theta, by angle:
3.381 Å, 26.36°, I = 1000, (1 1 3)
3.273 Å, 27.25°, I = 826, (2 0 2)
2.672 Å, 33.54°, I = 219, (2 2 0)
2.351 Å, 38.28°, I = 146, (3 1 1)
2.096 Å, 43.16°, I = 141, (3 1 3)
2.070 Å, 43.72°, I = 129, (2 2 4)
1.691 Å, 54.25°, I = 169, (2 2 6)
1.649 Å, 55.74°, I = 131, (3 3 3)
1.636 Å, 56.21°, I = 290, (4 0 4)
1.336 Å, 70.49°, I = 168, (4 4 0)

***

# 2
Calculated X-ray powder pattern of MgS2O7 for Cu Ka, from the GGA-PBE geometry in the Materials Project.

a b c (Å): 4.9678 7.0454 8.3614
angles (deg): 92.50 94.62 106.18
Positions (direct):
Mg 0.0000 0.0000 0.0000
Mg 0.5000 0.5000 0.5000
S 0.0055 0.6461 0.2684
S 0.3691 0.7491 0.8115
S 0.6309 0.2509 0.1885
S 0.9945 0.3539 0.7316
O 0.0888 0.8104 0.1675
O 0.1579 0.3194 0.6020
O 0.1611 0.8579 0.8215
O 0.2150 0.5217 0.8612
O 0.2330 0.5625 0.3171
O 0.3982 0.1921 0.0634
O 0.4477 0.7290 0.6488
O 0.5523 0.2710 0.3512
O 0.6018 0.8079 0.9366
O 0.7670 0.4375 0.6829
O 0.7850 0.4783 0.1388
O 0.8389 0.1421 0.1785
O 0.8421 0.6806 0.3980
O 0.9112 0.1896 0.8325

Top 10 peaks for 10 to 80 degrees two-theta, by angle:
8.314 Å, 10.64°, I = 349, (0 0 1)
6.750 Å, 13.12°, I = 814, (0 1 0)
5.427 Å, 16.33°, I = 851, (0 1 -1)
4.157 Å, 21.37°, I = 456, (0 0 2)
4.061 Å, 21.89°, I = 573, (-1 1 1)
3.907 Å, 22.76°, I = 1000, (1 -1 1)
3.654 Å, 24.36°, I = 543, (0 1 -2)
3.137 Å, 28.45°, I = 757, (-1 1 2)
3.074 Å, 29.04°, I = 630, (1 1 1)
2.998 Å, 29.81°, I = 439, (1 -1 2)